# Sm4Ga16Pd3
Simulated powder X-ray diffraction pattern, Cu Kα (λ = 1.5418 Å). Input: DFT lattice parameters and positions (GGA-PBE).
Neutral-atom scattering factors, no anomalous dispersion.

Cell and atoms:
Lattice parameters (Å, degrees): 6.270 6.270 11.209 90.00 90.00 90.00
Positions (direct):
Sm 0.000 0.500 0.191
Sm 0.000 0.500 0.809
Sm 0.500 0.000 0.191
Sm 0.500 0.000 0.809
Ga 0.000 0.000 0.200
Ga 0.000 0.000 0.800
Ga 0.210 0.210 0.000
Ga 0.210 0.790 0.000
Ga 0.244 0.244 0.377
Ga 0.244 0.244 0.623
Ga 0.244 0.756 0.377
Ga 0.244 0.756 0.623
Ga 0.500 0.500 0.232
Ga 0.500 0.500 0.768
Ga 0.756 0.244 0.377
Ga 0.756 0.244 0.623
Ga 0.756 0.756 0.377
Ga 0.756 0.756 0.623
Ga 0.790 0.210 0.000
Ga 0.790 0.790 0.000
Pd 0.000 0.500 0.500
Pd 0.500 0.000 0.500
Pd 0.500 0.500 0.000

The 6 most intense peaks (2θ from 5° to 70°), in order of falling intensity:
37.4°, 2.402 Å, rel. 100; 40.7°, 2.217 Å, rel. 76; 31.3°, 2.857 Å, rel. 38; 32.7°, 2.736 Å, rel. 29; 43.3°, 2.089 Å, rel. 26; 40.2°, 2.242 Å, rel. 24

# Sm2Ga9Pd6
Simulated powder X-ray diffraction pattern, Cu Kα (λ = 1.5418 Å). Input: DFT lattice parameters and positions (GGA-PBE).
Neutral-atom scattering factors, no anomalous dispersion.

Cell and atoms:
Lattice parameters (Å, degrees): 5.396 5.396 12.791 90.00 90.00 120.00
Positions (direct):
Sm 0.000 0.000 0.156
Sm 0.000 0.000 0.844
Ga 0.000 0.500 0.000
Ga 0.000 0.500 0.339
Ga 0.000 0.500 0.661
Ga 0.500 0.000 0.000
Ga 0.500 0.000 0.339
Ga 0.500 0.000 0.661
Ga 0.500 0.500 0.000
Ga 0.500 0.500 0.339
Ga 0.500 0.500 0.661
Pd 0.333 0.667 0.172
Pd 0.333 0.667 0.500
Pd 0.333 0.667 0.828
Pd 0.667 0.333 0.172
Pd 0.667 0.333 0.500
Pd 0.667 0.333 0.828

The 6 most intense peaks (2θ from 5° to 70°), in order of falling intensity:
39.5°, 2.280 Å, rel. 100; 33.2°, 2.698 Å, rel. 32; 44.2°, 2.049 Å, rel. 25; 42.4°, 2.132 Å, rel. 25; 63.6°, 1.463 Å, rel. 24; 69.7°, 1.349 Å, rel. 17

# Sm2Ga3Pd6
Simulated powder X-ray diffraction pattern, Cu Kα (λ = 1.5418 Å). Input: DFT lattice parameters and positions (GGA-PBE).
Neutral-atom scattering factors, no anomalous dispersion.

Cell and atoms:
Lattice parameters (Å, degrees): 7.395 7.395 4.396 90.00 90.00 120.00
Positions (direct):
Sm 0.333 0.667 0.000
Sm 0.667 0.333 0.000
Ga 0.000 0.387 0.500
Ga 0.387 0.000 0.500
Ga 0.613 0.613 0.500
Pd 0.000 0.216 0.000
Pd 0.000 0.723 0.500
Pd 0.216 0.000 0.000
Pd 0.277 0.277 0.500
Pd 0.723 0.000 0.500
Pd 0.784 0.784 0.000

The 6 most intense peaks (2θ from 5° to 70°), in order of falling intensity:
31.6°, 2.830 Å, rel. 100; 42.6°, 2.120 Å, rel. 84; 41.1°, 2.198 Å, rel. 37; 42.3°, 2.135 Å, rel. 31; 37.1°, 2.421 Å, rel. 29; 60.5°, 1.531 Å, rel. 22

# SmGa3Pd5
Simulated powder X-ray diffraction pattern, Cu Kα (λ = 1.5418 Å). Input: DFT lattice parameters and positions (GGA-PBE).
Neutral-atom scattering factors, no anomalous dispersion.

Cell and atoms:
Lattice parameters (Å, degrees): 6.871 6.871 13.030 90.00 90.00 147.34
Positions (direct):
Sm 0.122 0.878 0.750
Sm 0.878 0.122 0.250
Ga 0.129 0.871 0.250
Ga 0.380 0.620 0.041
Ga 0.380 0.620 0.459
Ga 0.620 0.380 0.541
Ga 0.620 0.380 0.959
Ga 0.871 0.129 0.750
Pd 0.000 0.000 0.000
Pd 0.000 0.000 0.500
Pd 0.199 0.801 0.072
Pd 0.199 0.801 0.428
Pd 0.455 0.545 0.647
Pd 0.455 0.545 0.853
Pd 0.545 0.455 0.147
Pd 0.545 0.455 0.353
Pd 0.801 0.199 0.572
Pd 0.801 0.199 0.928

The 6 most intense peaks (2θ from 5° to 70°), in order of falling intensity:
43.8°, 2.065 Å, rel. 100; 36.7°, 2.447 Å, rel. 66; 31.7°, 2.820 Å, rel. 64; 47.0°, 1.932 Å, rel. 49; 33.8°, 2.651 Å, rel. 45; 41.7°, 2.167 Å, rel. 34

# Sm4Ga12Pd
Simulated powder X-ray diffraction pattern, Cu Kα (λ = 1.5418 Å). Input: DFT lattice parameters and positions (GGA-PBE).
Neutral-atom scattering factors, no anomalous dispersion.

Cell and atoms:
Lattice parameters (Å, degrees): 7.559 7.559 7.559 109.47 109.47 109.47
Positions (direct):
Sm 0.000 0.000 0.500
Sm 0.000 0.500 0.000
Sm 0.500 0.000 0.000
Sm 0.500 0.500 0.500
Ga 0.000 0.297 0.297
Ga 0.000 0.703 0.703
Ga 0.250 0.500 0.750
Ga 0.250 0.750 0.500
Ga 0.297 0.000 0.297
Ga 0.297 0.297 0.000
Ga 0.500 0.250 0.750
Ga 0.500 0.750 0.250
Ga 0.703 0.000 0.703
Ga 0.703 0.703 0.000
Ga 0.750 0.250 0.500
Ga 0.750 0.500 0.250
Pd 0.000 0.000 0.000

The 6 most intense peaks (2θ from 5° to 70°), in order of falling intensity:
35.6°, 2.520 Å, rel. 100; 41.4°, 2.182 Å, rel. 66; 60.0°, 1.543 Å, rel. 38; 28.9°, 3.086 Å, rel. 33; 38.6°, 2.333 Å, rel. 12; 67.9°, 1.380 Å, rel. 10

# Sm3Ga2Pd2
Simulated powder X-ray diffraction pattern, Cu Kα (λ = 1.5418 Å). Input: DFT lattice parameters and positions (GGA-PBE).
Neutral-atom scattering factors, no anomalous dispersion.

Cell and atoms:
Lattice parameters (Å, degrees): 5.700 8.178 13.635 90.00 90.00 90.00
Positions (direct):
Sm 0.141 0.244 0.250
Sm 0.141 0.256 0.750
Sm 0.357 0.603 0.102
Sm 0.357 0.603 0.398
Sm 0.357 0.897 0.602
Sm 0.357 0.897 0.898
Sm 0.643 0.103 0.102
Sm 0.643 0.103 0.398
Sm 0.643 0.397 0.602
Sm 0.643 0.397 0.898
Sm 0.859 0.744 0.250
Sm 0.859 0.756 0.750
Ga 0.167 0.250 0.000
Ga 0.167 0.250 0.500
Ga 0.362 0.612 0.750
Ga 0.362 0.888 0.250
Ga 0.638 0.112 0.750
Ga 0.638 0.388 0.250
Ga 0.833 0.750 0.000
Ga 0.833 0.750 0.500
Pd 0.124 0.539 0.593
Pd 0.124 0.539 0.907
Pd 0.124 0.961 0.093
Pd 0.124 0.961 0.407
Pd 0.876 0.039 0.593
Pd 0.876 0.039 0.907
Pd 0.876 0.461 0.093
Pd 0.876 0.461 0.407

The 6 most intense peaks (2θ from 5° to 70°), in order of falling intensity:
38.9°, 2.316 Å, rel. 100; 36.5°, 2.459 Å, rel. 79; 32.5°, 2.755 Å, rel. 59; 33.4°, 2.682 Å, rel. 59; 34.2°, 2.618 Å, rel. 52; 33.3°, 2.691 Å, rel. 49

# Sm3GaPd
Simulated powder X-ray diffraction pattern, Cu Kα (λ = 1.5418 Å). Input: DFT lattice parameters and positions (GGA-PBE).
Neutral-atom scattering factors, no anomalous dispersion.

Cell and atoms:
Lattice parameters (Å, degrees): 8.174 8.174 8.212 90.12 90.12 85.75
Positions (direct):
Sm 0.007 0.807 0.582
Sm 0.076 0.424 0.802
Sm 0.193 0.993 0.918
Sm 0.304 0.498 0.417
Sm 0.424 0.076 0.302
Sm 0.498 0.304 0.917
Sm 0.502 0.696 0.083
Sm 0.576 0.924 0.698
Sm 0.696 0.502 0.583
Sm 0.807 0.007 0.082
Sm 0.924 0.576 0.198
Sm 0.993 0.193 0.418
Ga 0.164 0.836 0.250
Ga 0.340 0.660 0.750
Ga 0.660 0.340 0.250
Ga 0.836 0.164 0.750
Pd 0.186 0.303 0.128
Pd 0.303 0.186 0.628
Pd 0.697 0.814 0.372
Pd 0.814 0.697 0.872

The 6 most intense peaks (2θ from 5° to 70°), in order of falling intensity:
26.1°, 3.418 Å, rel. 100; 36.6°, 2.456 Å, rel. 95; 34.8°, 2.580 Å, rel. 92; 34.0°, 2.634 Å, rel. 77; 32.2°, 2.778 Å, rel. 72; 35.8°, 2.511 Å, rel. 52

# Sm3Ga9Pd2
Simulated powder X-ray diffraction pattern, Cu Kα (λ = 1.5418 Å). Input: DFT lattice parameters and positions (GGA-PBE).
Neutral-atom scattering factors, no anomalous dispersion.

Cell and atoms:
Lattice parameters (Å, degrees): 8.298 8.298 8.298 150.08 106.45 81.38
Positions (direct):
Sm 0.000 0.000 0.000
Sm 0.318 0.318 0.000
Sm 0.682 0.682 0.000
Ga 0.037 0.666 0.372
Ga 0.145 0.869 0.276
Ga 0.294 0.666 0.628
Ga 0.407 0.131 0.276
Ga 0.500 0.000 0.500
Ga 0.593 0.869 0.724
Ga 0.706 0.334 0.372
Ga 0.855 0.131 0.724
Ga 0.963 0.334 0.628
Pd 0.280 0.500 0.780
Pd 0.720 0.500 0.220

The 6 most intense peaks (2θ from 5° to 70°), in order of falling intensity:
35.0°, 2.566 Å, rel. 100; 42.2°, 2.142 Å, rel. 31; 34.2°, 2.620 Å, rel. 24; 34.5°, 2.599 Å, rel. 21; 43.1°, 2.097 Å, rel. 18; 61.9°, 1.499 Å, rel. 15

# Sm3Ga4Pd4
Simulated powder X-ray diffraction pattern, Cu Kα (λ = 1.5418 Å). Input: DFT lattice parameters and positions (GGA-PBE).
Neutral-atom scattering factors, no anomalous dispersion.

Cell and atoms:
Lattice parameters (Å, degrees): 13.563 13.563 13.563 163.70 161.36 24.86
Positions (direct):
Sm 0.000 0.000 0.000
Sm 0.355 0.855 0.500
Sm 0.645 0.145 0.500
Ga 0.193 0.693 0.500
Ga 0.452 0.452 0.000
Ga 0.548 0.548 0.000
Ga 0.807 0.307 0.500
Pd 0.097 0.597 0.500
Pd 0.255 0.255 0.000
Pd 0.745 0.745 0.000
Pd 0.903 0.403 0.500

The 6 most intense peaks (2θ from 5° to 70°), in order of falling intensity:
33.8°, 2.651 Å, rel. 100; 33.2°, 2.697 Å, rel. 44; 42.8°, 2.112 Å, rel. 32; 41.1°, 2.197 Å, rel. 29; 53.8°, 1.703 Å, rel. 22; 47.3°, 1.922 Å, rel. 20

# Sm2Ga12Pd
Simulated powder X-ray diffraction pattern, Cu Kα (λ = 1.5418 Å). Input: DFT lattice parameters and positions (GGA-PBE).
Neutral-atom scattering factors, no anomalous dispersion.

Cell and atoms:
Lattice parameters (Å, degrees): 6.162 6.162 15.374 90.00 90.00 90.00
Positions (direct):
Sm 0.250 0.750 0.243
Sm 0.250 0.750 0.757
Sm 0.750 0.250 0.243
Sm 0.750 0.250 0.757
Ga 0.000 0.000 0.090
Ga 0.000 0.000 0.910
Ga 0.000 0.500 0.090
Ga 0.000 0.500 0.910
Ga 0.083 0.583 0.431
Ga 0.083 0.917 0.569
Ga 0.250 0.250 0.187
Ga 0.250 0.250 0.347
Ga 0.250 0.250 0.653
Ga 0.250 0.250 0.813
Ga 0.417 0.583 0.569
Ga 0.417 0.917 0.431
Ga 0.500 0.000 0.090
Ga 0.500 0.000 0.910
Ga 0.500 0.500 0.090
Ga 0.500 0.500 0.910
Ga 0.583 0.083 0.569
Ga 0.583 0.417 0.431
Ga 0.750 0.750 0.187
Ga 0.750 0.750 0.347
Ga 0.750 0.750 0.653
Ga 0.750 0.750 0.813
Ga 0.917 0.083 0.431
Ga 0.917 0.417 0.569
Pd 0.250 0.750 0.000
Pd 0.750 0.250 0.000

The 6 most intense peaks (2θ from 5° to 70°), in order of falling intensity:
41.5°, 2.178 Å, rel. 100; 31.3°, 2.860 Å, rel. 85; 31.0°, 2.882 Å, rel. 69; 37.4°, 2.404 Å, rel. 41; 52.7°, 1.738 Å, rel. 35; 40.9°, 2.209 Å, rel. 29

# Sm3Ga7Pd2
Simulated powder X-ray diffraction pattern, Cu Kα (λ = 1.5418 Å). Input: DFT lattice parameters and positions (GGA-PBE).
Neutral-atom scattering factors, no anomalous dispersion.

Cell and atoms:
Lattice parameters (Å, degrees): 4.283 4.281 13.557 90.00 98.99 90.00
Positions (direct):
Sm 0.000 0.000 0.000
Sm 0.316 0.500 0.637
Sm 0.684 0.500 0.363
Ga 0.085 0.500 0.164
Ga 0.225 0.000 0.449
Ga 0.419 0.000 0.837
Ga 0.500 0.500 0.000
Ga 0.581 0.000 0.163
Ga 0.775 0.000 0.551
Ga 0.915 0.500 0.836
Pd 0.131 0.000 0.263
Pd 0.869 0.000 0.737

The 6 most intense peaks (2θ from 5° to 70°), in order of falling intensity:
34.0°, 2.636 Å, rel. 100; 42.2°, 2.141 Å, rel. 56; 37.9°, 2.374 Å, rel. 28; 61.2°, 1.514 Å, rel. 18; 31.2°, 2.867 Å, rel. 18; 36.8°, 2.444 Å, rel. 15